(1)
Calculated powder diffractogram of Pr3Al5Pd6 for CuKα, from a cell relaxed with GGA-PBE.
Lines closer than 0.1° are merged.

Atomic structure:
```
data_Pr3Al5Pd6
_chemical_formula_sum 'Pr6 Al10 Pd12'
_cell_length_a 4.299
_cell_length_b 13.649
_cell_length_c 9.426
_cell_angle_alpha 90.00
_cell_angle_beta 90.00
_cell_angle_gamma 90.00
_symmetry_space_group_name_H-M 'P 1'
_symmetry_Int_Tables_number 1
loop_
_symmetry_equiv_pos_as_xyz
'x,y,z'
loop_
_atom_site_label
_atom_site_type_symbol
_atom_site_fract_x
_atom_site_fract_y
_atom_site_fract_z
_atom_site_occupancy
Pr1 Pr 0.250 0.043 0.223 1
Pr2 Pr 0.250 0.457 0.223 1
Pr3 Pr 0.250 0.750 0.312 1
Pr4 Pr 0.750 0.250 0.688 1
Pr5 Pr 0.750 0.543 0.777 1
Pr6 Pr 0.750 0.957 0.777 1
Al1 Al 0.250 0.078 0.572 1
Al2 Al 0.250 0.422 0.572 1
Al3 Al 0.250 0.645 0.001 1
Al4 Al 0.250 0.750 0.747 1
Al5 Al 0.250 0.855 0.001 1
Al6 Al 0.750 0.145 0.999 1
Al7 Al 0.750 0.250 0.253 1
Al8 Al 0.750 0.355 0.999 1
Al9 Al 0.750 0.578 0.428 1
Al10 Al 0.750 0.922 0.428 1
Pd1 Pd 0.250 0.110 0.848 1
Pd2 Pd 0.250 0.250 0.072 1
Pd3 Pd 0.250 0.250 0.416 1
Pd4 Pd 0.250 0.390 0.848 1
Pd5 Pd 0.250 0.612 0.561 1
Pd6 Pd 0.250 0.888 0.561 1
Pd7 Pd 0.750 0.112 0.439 1
Pd8 Pd 0.750 0.388 0.439 1
Pd9 Pd 0.750 0.610 0.152 1
Pd10 Pd 0.750 0.750 0.584 1
Pd11 Pd 0.750 0.750 0.928 1
Pd12 Pd 0.750 0.890 0.152 1
```

The 10 most intense peaks (10° ≤ 2θ ≤ 80°), in order of falling intensity:
2θ/deg	I_rel
34.44	100
34.89	84
42.03	53
37.84	43
23.66	30
71.94	22
31.34	20
27.24	19
39.62	17
36.01	16

=====

(2)
Calculated powder diffractogram of PrAl12Pd4 for CuKα, from a cell relaxed with GGA-PBE.
Lines closer than 0.1° are merged.

Atomic structure:
```
data_PrAl12Pd4
_chemical_formula_sum 'Pr1 Al12 Pd4'
_cell_length_a 7.614
_cell_length_b 7.614
_cell_length_c 7.614
_cell_angle_alpha 109.47
_cell_angle_beta 109.47
_cell_angle_gamma 109.47
_symmetry_space_group_name_H-M 'P 1'
_symmetry_Int_Tables_number 1
loop_
_symmetry_equiv_pos_as_xyz
'x,y,z'
loop_
_atom_site_label
_atom_site_type_symbol
_atom_site_fract_x
_atom_site_fract_y
_atom_site_fract_z
_atom_site_occupancy
Pr1 Pr 0.000 0.000 0.000 1
Al1 Al 0.160 0.344 0.504 1
Al2 Al 0.160 0.656 0.815 1
Al3 Al 0.185 0.840 0.344 1
Al4 Al 0.344 0.185 0.840 1
Al5 Al 0.344 0.504 0.160 1
Al6 Al 0.496 0.840 0.656 1
Al7 Al 0.504 0.160 0.344 1
Al8 Al 0.656 0.496 0.840 1
Al9 Al 0.656 0.815 0.160 1
Al10 Al 0.815 0.160 0.656 1
Al11 Al 0.840 0.344 0.185 1
Al12 Al 0.840 0.656 0.496 1
Pd1 Pd 0.000 0.000 0.500 1
Pd2 Pd 0.000 0.500 0.000 1
Pd3 Pd 0.500 0.000 0.000 1
Pd4 Pd 0.500 0.500 0.500 1
```

The 10 most intense peaks (10° ≤ 2θ ≤ 80°), in order of falling intensity:
2θ/deg	I_rel
28.72	100
50.88	66
32.20	39
20.20	35
38.31	32
46.18	30
67.36	23
14.25	22
41.07	21
53.12	17

=====

(3)
Calculated powder diffractogram of Pr2ScAlPd6 for CuKα, from a cell relaxed with GGA-PBE.
Lines closer than 0.1° are merged.

Atomic structure:
```
data_Pr2ScAlPd6
_chemical_formula_sum 'Pr2 Sc1 Al1 Pd6'
_cell_length_a 5.554
_cell_length_b 6.481
_cell_length_c 6.777
_cell_angle_alpha 111.00
_cell_angle_beta 101.24
_cell_angle_gamma 107.80
_symmetry_space_group_name_H-M 'P 1'
_symmetry_Int_Tables_number 1
loop_
_symmetry_equiv_pos_as_xyz
'x,y,z'
loop_
_atom_site_label
_atom_site_type_symbol
_atom_site_fract_x
_atom_site_fract_y
_atom_site_fract_z
_atom_site_occupancy
Pr1 Pr 0.014 0.150 0.306 1
Pr2 Pr 0.986 0.850 0.694 1
Sc1 Sc 0.500 0.500 0.000 1
Al1 Al 0.500 0.000 0.500 1
Pd1 Pd 0.034 0.618 0.244 1
Pd2 Pd 0.355 0.860 0.081 1
Pd3 Pd 0.408 0.644 0.650 1
Pd4 Pd 0.592 0.356 0.350 1
Pd5 Pd 0.645 0.140 0.919 1
Pd6 Pd 0.966 0.382 0.756 1
```

The 10 most intense peaks (10° ≤ 2θ ≤ 80°), in order of falling intensity:
2θ/deg	I_rel
38.44	100
37.26	55
40.37	52
36.18	38
39.69	36
29.48	28
42.63	26
41.01	24
26.98	24
23.13	20

=====

(4)
Calculated powder diffractogram of PrSmAlPd for CuKα, from a cell relaxed with GGA-PBE.
Lines closer than 0.1° are merged.

Atomic structure:
```
data_PrSmAlPd
_chemical_formula_sum 'Pr2 Sm2 Al2 Pd2'
_cell_length_a 4.322
_cell_length_b 4.474
_cell_length_c 10.736
_cell_angle_alpha 90.00
_cell_angle_beta 90.00
_cell_angle_gamma 90.00
_symmetry_space_group_name_H-M 'P 1'
_symmetry_Int_Tables_number 1
loop_
_symmetry_equiv_pos_as_xyz
'x,y,z'
loop_
_atom_site_label
_atom_site_type_symbol
_atom_site_fract_x
_atom_site_fract_y
_atom_site_fract_z
_atom_site_occupancy
Pr1 Pr 0.000 0.000 0.000 1
Pr2 Pr 0.000 0.500 0.500 1
Sm1 Sm 0.500 0.000 0.711 1
Sm2 Sm 0.500 0.500 0.211 1
Al1 Al 0.500 0.000 0.416 1
Al2 Al 0.500 0.500 0.916 1
Pd1 Pd 0.000 0.000 0.279 1
Pd2 Pd 0.000 0.500 0.779 1
```

The 10 most intense peaks (10° ≤ 2θ ≤ 80°), in order of falling intensity:
2θ/deg	I_rel
29.93	100
32.03	42
38.36	35
26.48	24
40.32	23
41.80	20
53.61	20
33.38	19
39.52	19
59.48	14

=====

(5)
Calculated powder diffractogram of PrYAl2Pd5 for CuKα, from a cell relaxed with GGA-PBE.
Lines closer than 0.1° are merged.

Atomic structure:
```
data_PrYAl2Pd5
_chemical_formula_sum 'Pr1 Y1 Al2 Pd5'
_cell_length_a 4.286
_cell_length_b 4.286
_cell_length_c 9.270
_cell_angle_alpha 90.00
_cell_angle_beta 90.00
_cell_angle_gamma 90.00
_symmetry_space_group_name_H-M 'P 1'
_symmetry_Int_Tables_number 1
loop_
_symmetry_equiv_pos_as_xyz
'x,y,z'
loop_
_atom_site_label
_atom_site_type_symbol
_atom_site_fract_x
_atom_site_fract_y
_atom_site_fract_z
_atom_site_occupancy
Pr1 Pr 0.000 0.000 0.000 1
Y1 Y 0.000 0.000 0.500 1
Al1 Al 0.500 0.500 0.360 1
Al2 Al 0.500 0.500 0.640 1
Pd1 Pd 0.000 0.500 0.230 1
Pd2 Pd 0.000 0.500 0.770 1
Pd3 Pd 0.500 0.000 0.230 1
Pd4 Pd 0.500 0.000 0.770 1
Pd5 Pd 0.500 0.500 0.000 1
```

The 10 most intense peaks (10° ≤ 2θ ≤ 80°), in order of falling intensity:
2θ/deg	I_rel
35.38	100
42.16	37
72.68	24
58.67	18
38.86	15
41.74	15
61.15	12
68.12	12
74.86	9
28.36	6

=====

(6)
Calculated powder diffractogram of AlPd4Pt2 for CuKα, from a cell relaxed with GGA-PBE.
Lines closer than 0.1° are merged.

Atomic structure:
```
data_AlPd4Pt2
_chemical_formula_sum 'Al2 Pd8 Pt4'
_cell_length_a 4.813
_cell_length_b 4.813
_cell_length_c 12.038
_cell_angle_alpha 90.00
_cell_angle_beta 90.00
_cell_angle_gamma 126.46
_symmetry_space_group_name_H-M 'P 1'
_symmetry_Int_Tables_number 1
loop_
_symmetry_equiv_pos_as_xyz
'x,y,z'
loop_
_atom_site_label
_atom_site_type_symbol
_atom_site_fract_x
_atom_site_fract_y
_atom_site_fract_z
_atom_site_occupancy
Al1 Al 0.000 0.000 0.000 1
Al2 Al 0.500 0.500 0.500 1
Pd1 Pd 0.107 0.893 0.812 1
Pd2 Pd 0.234 0.766 0.582 1
Pd3 Pd 0.266 0.734 0.082 1
Pd4 Pd 0.393 0.607 0.312 1
Pd5 Pd 0.607 0.393 0.688 1
Pd6 Pd 0.734 0.266 0.918 1
Pd7 Pd 0.766 0.234 0.418 1
Pd8 Pd 0.893 0.107 0.188 1
Pt1 Pt 0.082 0.918 0.376 1
Pt2 Pt 0.418 0.582 0.876 1
Pt3 Pt 0.582 0.418 0.124 1
Pt4 Pt 0.918 0.082 0.624 1
```

The 10 most intense peaks (10° ≤ 2θ ≤ 80°), in order of falling intensity:
2θ/deg	I_rel
40.62	100
41.66	34
44.31	32
37.87	26
29.69	25
24.15	21
30.48	17
75.33	16
51.99	11
48.04	9

=====

(7)
Calculated powder diffractogram of AlPd3Pt3 for CuKα, from a cell relaxed with GGA-PBE.
Lines closer than 0.1° are merged.

Atomic structure:
```
data_AlPd3Pt3
_chemical_formula_sum 'Al2 Pd6 Pt6'
_cell_length_a 7.811
_cell_length_b 7.811
_cell_length_c 5.226
_cell_angle_alpha 104.57
_cell_angle_beta 104.57
_cell_angle_gamma 117.49
_symmetry_space_group_name_H-M 'P 1'
_symmetry_Int_Tables_number 1
loop_
_symmetry_equiv_pos_as_xyz
'x,y,z'
loop_
_atom_site_label
_atom_site_type_symbol
_atom_site_fract_x
_atom_site_fract_y
_atom_site_fract_z
_atom_site_occupancy
Al1 Al 0.188 0.188 0.284 1
Al2 Al 0.812 0.812 0.716 1
Pd1 Pd 0.151 0.151 0.767 1
Pd2 Pd 0.182 0.522 0.053 1
Pd3 Pd 0.478 0.818 0.947 1
Pd4 Pd 0.522 0.182 0.053 1
Pd5 Pd 0.818 0.478 0.947 1
Pd6 Pd 0.849 0.849 0.233 1
Pt1 Pt 0.150 0.850 0.000 1
Pt2 Pt 0.189 0.811 0.500 1
Pt3 Pt 0.482 0.482 0.737 1
Pt4 Pt 0.518 0.518 0.263 1
Pt5 Pt 0.811 0.189 0.500 1
Pt6 Pt 0.850 0.150 0.000 1
```

The 10 most intense peaks (10° ≤ 2θ ≤ 80°), in order of falling intensity:
2θ/deg	I_rel
43.35	100
23.60	77
40.53	66
39.98	59
25.12	56
41.77	54
48.26	40
52.67	29
35.59	24
19.42	21

=====

(8)
Calculated powder diffractogram of Al4Pd4Pt5 for CuKα, from a cell relaxed with GGA-PBE.
Lines closer than 0.1° are merged.

Atomic structure:
```
data_Al4Pd4Pt5
_chemical_formula_sum 'Al4 Pd4 Pt5'
_cell_length_a 7.198
_cell_length_b 7.198
_cell_length_c 7.198
_cell_angle_alpha 94.61
_cell_angle_beta 94.61
_cell_angle_gamma 147.05
_symmetry_space_group_name_H-M 'P 1'
_symmetry_Int_Tables_number 1
loop_
_symmetry_equiv_pos_as_xyz
'x,y,z'
loop_
_atom_site_label
_atom_site_type_symbol
_atom_site_fract_x
_atom_site_fract_y
_atom_site_fract_z
_atom_site_occupancy
Al1 Al 0.119 0.238 0.357 1
Al2 Al 0.238 0.881 0.119 1
Al3 Al 0.762 0.119 0.881 1
Al4 Al 0.881 0.762 0.643 1
Pd1 Pd 0.102 0.613 0.715 1
Pd2 Pd 0.387 0.102 0.489 1
Pd3 Pd 0.613 0.898 0.511 1
Pd4 Pd 0.898 0.387 0.285 1
Pt1 Pt 0.000 0.000 0.000 1
Pt2 Pt 0.316 0.410 0.726 1
Pt3 Pt 0.410 0.684 0.094 1
Pt4 Pt 0.590 0.316 0.906 1
Pt5 Pt 0.684 0.590 0.274 1
```

The 10 most intense peaks (10° ≤ 2θ ≤ 80°), in order of falling intensity:
2θ/deg	I_rel
39.96	100
35.27	31
44.38	25
44.22	23
29.97	22
47.49	20
41.36	19
28.92	18
12.83	16
74.48	16

=====

(9)
Calculated powder diffractogram of AlPd3Pt2 for CuKα, from a cell relaxed with GGA-PBE.
Lines closer than 0.1° are merged.

Atomic structure:
```
data_AlPd3Pt2
_chemical_formula_sum 'Al2 Pd6 Pt4'
_cell_length_a 4.587
_cell_length_b 8.210
_cell_length_c 4.848
_cell_angle_alpha 90.00
_cell_angle_beta 90.00
_cell_angle_gamma 90.00
_symmetry_space_group_name_H-M 'P 1'
_symmetry_Int_Tables_number 1
loop_
_symmetry_equiv_pos_as_xyz
'x,y,z'
loop_
_atom_site_label
_atom_site_type_symbol
_atom_site_fract_x
_atom_site_fract_y
_atom_site_fract_z
_atom_site_occupancy
Al1 Al 0.250 0.250 0.086 1
Al2 Al 0.750 0.750 0.914 1
Pd1 Pd 0.250 0.087 0.591 1
Pd2 Pd 0.250 0.413 0.591 1
Pd3 Pd 0.250 0.750 0.599 1
Pd4 Pd 0.750 0.250 0.401 1
Pd5 Pd 0.750 0.587 0.409 1
Pd6 Pd 0.750 0.913 0.409 1
Pt1 Pt 0.250 0.576 0.096 1
Pt2 Pt 0.250 0.924 0.096 1
Pt3 Pt 0.750 0.076 0.904 1
Pt4 Pt 0.750 0.424 0.904 1
```

The 10 most intense peaks (10° ≤ 2θ ≤ 80°), in order of falling intensity:
2θ/deg	I_rel
42.76	100
42.17	66
39.28	47
37.75	32
55.61	21
73.60	21
67.29	18
22.20	15
21.65	14
73.18	13

=====

(10)
Calculated powder diffractogram of Al2Pd8Pt3 for CuKα, from a cell relaxed with GGA-PBE.
Lines closer than 0.1° are merged.

Atomic structure:
```
data_Al2Pd8Pt3
_chemical_formula_sum 'Al2 Pd8 Pt3'
_cell_length_a 7.898
_cell_length_b 7.898
_cell_length_c 3.878
_cell_angle_alpha 90.00
_cell_angle_beta 90.00
_cell_angle_gamma 116.28
_symmetry_space_group_name_H-M 'P 1'
_symmetry_Int_Tables_number 1
loop_
_symmetry_equiv_pos_as_xyz
'x,y,z'
loop_
_atom_site_label
_atom_site_type_symbol
_atom_site_fract_x
_atom_site_fract_y
_atom_site_fract_z
_atom_site_occupancy
Al1 Al 0.232 0.768 0.000 1
Al2 Al 0.768 0.232 0.000 1
Pd1 Pd 0.112 0.400 0.000 1
Pd2 Pd 0.112 0.888 0.500 1
Pd3 Pd 0.343 0.657 0.500 1
Pd4 Pd 0.400 0.112 0.000 1
Pd5 Pd 0.600 0.888 0.000 1
Pd6 Pd 0.657 0.343 0.500 1
Pd7 Pd 0.888 0.112 0.500 1
Pd8 Pd 0.888 0.600 0.000 1
Pt1 Pt 0.273 0.273 0.500 1
Pt2 Pt 0.500 0.500 0.000 1
Pt3 Pt 0.727 0.727 0.500 1
```

The 10 most intense peaks (10° ≤ 2θ ≤ 80°), in order of falling intensity:
2θ/deg	I_rel
41.68	100
34.29	41
13.20	29
43.41	25
46.86	22
12.50	21
65.78	14
40.33	13
78.48	13
78.89	12

=====

(11)
Calculated powder diffractogram of Al3Pd2Pt for CuKα, from a cell relaxed with GGA-PBE.
Lines closer than 0.1° are merged.

Atomic structure:
```
data_Al3Pd2Pt
_chemical_formula_sum 'Al6 Pd4 Pt2'
_cell_length_a 4.365
_cell_length_b 4.365
_cell_length_c 10.631
_cell_angle_alpha 90.00
_cell_angle_beta 90.00
_cell_angle_gamma 120.00
_symmetry_space_group_name_H-M 'P 1'
_symmetry_Int_Tables_number 1
loop_
_symmetry_equiv_pos_as_xyz
'x,y,z'
loop_
_atom_site_label
_atom_site_type_symbol
_atom_site_fract_x
_atom_site_fract_y
_atom_site_fract_z
_atom_site_occupancy
Al1 Al 0.000 0.000 0.250 1
Al2 Al 0.000 0.000 0.750 1
Al3 Al 0.333 0.667 0.415 1
Al4 Al 0.333 0.667 0.915 1
Al5 Al 0.667 0.333 0.085 1
Al6 Al 0.667 0.333 0.585 1
Pd1 Pd 0.000 0.000 0.000 1
Pd2 Pd 0.000 0.000 0.500 1
Pd3 Pd 0.333 0.667 0.162 1
Pd4 Pd 0.667 0.333 0.838 1
Pt1 Pt 0.333 0.667 0.664 1
Pt2 Pt 0.667 0.333 0.336 1
```

The 10 most intense peaks (10° ≤ 2θ ≤ 80°), in order of falling intensity:
2θ/deg	I_rel
28.99	100
41.37	84
41.54	83
75.56	28
60.07	28
51.30	21
67.94	18
68.17	17
75.44	14
75.90	14

=====

(12)
Calculated powder diffractogram of AlPdPt4 for CuKα, from a cell relaxed with GGA-PBE.
Lines closer than 0.1° are merged.

Atomic structure:
```
data_AlPdPt4
_chemical_formula_sum 'Al2 Pd2 Pt8'
_cell_length_a 5.428
_cell_length_b 7.759
_cell_length_c 4.955
_cell_angle_alpha 90.00
_cell_angle_beta 116.99
_cell_angle_gamma 90.00
_symmetry_space_group_name_H-M 'P 1'
_symmetry_Int_Tables_number 1
loop_
_symmetry_equiv_pos_as_xyz
'x,y,z'
loop_
_atom_site_label
_atom_site_type_symbol
_atom_site_fract_x
_atom_site_fract_y
_atom_site_fract_z
_atom_site_occupancy
Al1 Al 0.000 0.000 0.000 1
Al2 Al 0.000 0.500 0.500 1
Pd1 Pd 0.500 0.000 0.500 1
Pd2 Pd 0.500 0.500 0.000 1
Pt1 Pt 0.109 0.167 0.618 1
Pt2 Pt 0.109 0.333 0.118 1
Pt3 Pt 0.368 0.658 0.424 1
Pt4 Pt 0.368 0.842 0.924 1
Pt5 Pt 0.632 0.158 0.076 1
Pt6 Pt 0.632 0.342 0.576 1
Pt7 Pt 0.891 0.667 0.882 1
Pt8 Pt 0.891 0.833 0.382 1
```

The 10 most intense peaks (10° ≤ 2θ ≤ 80°), in order of falling intensity:
2θ/deg	I_rel
40.44	100
39.01	59
40.65	58
40.96	50
42.58	42
23.22	34
56.33	20
58.53	19
74.26	15
61.78	15